No. 1
Diffraction record for K3V2AgO8. The X-ray powder pattern is computed, not measured: it uses a cell relaxed with GGA+U and Cu Kα, 1.54184 Å.
Lines closer than 0.1° are merged.

Top 10 peaks for 2θ from 10° to 80°, in order of rising 2θ:
2θ (°)  I (rel.)  index
11.6  34  0 0 1
20.9  42  1 0 1
29.2  86  0 1 2
30.3  100  1 1 0
39.6  12  0 1 3
42.6  51  2 0 2
53.2  29  1 2 2
53.9  17  3 0 0
57.6  20  1 1 4
63.1  18  2 2 0

Structure:
abc: 5.8939 5.8939 7.6209
angles: 90.00 90.00 120.00
Space group P-3m1 (No. 164)
Symmetry-distinct sites (fractional):
K (0.0000, 0.0000, 0.0000) x1
K (0.3333, 0.6667, 0.6880) x2
V (0.3333, 0.6667, 0.2478) x2
Ag (0.0000, 0.0000, 0.5000) x1
O (0.1689, 0.3378, 0.3195) x6
O (0.3333, 0.6667, 0.0274) x2

=====

No. 2
Diffraction record for KAgWO4. The X-ray powder pattern is computed, not measured: it uses a cell relaxed with GGA+U and Cu Kα, 1.54184 Å.
Lines closer than 0.1° are merged.

Top 10 peaks for 2θ from 10° to 80°, in order of rising 2θ:
2θ (°)  I (rel.)  index
13.5  100  0 0 1
20.2  22  1 1 0
23.7  26  1 0 1
26.3  66  0 2 0
27.2  58  1 1 1
29.5  50  1 1 -2
29.7  33  0 2 1
32.1  55  2 1 -1
36.2  25  2 1 -2
54.7  23  3 2 0

Structure:
abc: 6.159 6.789 6.952
angles: 90.00 109.90 90.00
Space group P2_1/m (No. 11)
Symmetry-distinct sites (fractional):
K (0.231, 0.250, 0.492) x2
Ag (0.451, 0.250, 0.087) x2
W (0.190, 0.750, 0.132) x2
O (0.092, 0.250, 0.836) x2
O (0.161, 0.750, 0.861) x2
O (0.352, 0.535, 0.260) x4

=====

No. 3
Diffraction record for K3AgW2O8. The X-ray powder pattern is computed, not measured: it uses a cell relaxed with GGA+U and Cu Kα, 1.54184 Å.
Lines closer than 0.1° are merged.

Top 10 peaks for 2θ from 10° to 80°, in order of rising 2θ:
2θ (°)  I (rel.)  index
20.0  100  1 0 1
28.1  66  0 1 2
28.8  86  1 1 0
38.2  16  1 0 3
40.7  35  2 0 2
46.2  25  2 1 1
49.3  11  1 0 4
50.6  25  1 2 2
51.0  17  3 0 0
59.6  14  2 2 0

Structure:
abc: 6.2003 6.2003 7.8767
angles: 90.00 90.00 120.00
Space group P-3m1 (No. 164)
Symmetry-distinct sites (fractional):
K (0.0000, 0.0000, 0.0000) x1
K (0.3333, 0.6667, 0.6553) x2
Ag (0.0000, 0.0000, 0.5000) x1
W (0.3333, 0.6667, 0.2078) x2
O (0.1752, 0.3505, 0.2922) x6
O (0.3333, 0.6667, 0.9784) x2